No. 1
Structure and computed powder diffractogram of In4Pd5Pt4 (the PBE geometry in Alexandria; Cu Kα (λ = 1.5418 Å)).
Kinematic intensities with the Lorentz-polarization factor, no thermal factor.

Cell and atoms:
a b c (Å): 7.580 7.580 7.580
angles (deg): 94.26 94.26 148.38
Fractional positions:
In (0.133, 0.230, 0.363)
In (0.230, 0.867, 0.097)
In (0.770, 0.133, 0.903)
In (0.867, 0.770, 0.637)
Pd (0.000, 0.000, 0.000)
Pd (0.307, 0.443, 0.750)
Pd (0.443, 0.693, 0.135)
Pd (0.557, 0.307, 0.865)
Pd (0.693, 0.557, 0.250)
Pt (0.086, 0.609, 0.694)
Pt (0.391, 0.086, 0.477)
Pt (0.609, 0.914, 0.523)
Pt (0.914, 0.391, 0.306)

Most intense lines, 2θ from 10° to 90°, low angle first:
d 7.293, 12.14°, intensity 10.6; d 2.352, 38.27°, intensity 100.0; d 2.065, 43.84°, intensity 16.6; d 2.023, 44.81°, intensity 28.0; d 1.445, 64.48°, intensity 18.8; d 1.241, 76.84°, intensity 12.9; d 1.222, 78.23°, intensity 17.4; d 1.176, 81.94°, intensity 8.2

---

No. 2
Structure and computed powder diffractogram of In2PdPt2 (the PBE geometry in Alexandria; Cu Kα (λ = 1.5418 Å)).
Kinematic intensities with the Lorentz-polarization factor, no thermal factor.

Cell and atoms:
a b c (Å): 5.540 5.540 7.606
angles (deg): 112.01 112.01 56.28
Fractional positions:
In (0.032, 0.326, 0.145)
In (0.326, 0.032, 0.645)
In (0.674, 0.968, 0.355)
In (0.968, 0.674, 0.855)
Pd (0.174, 0.826, 0.250)
Pd (0.826, 0.174, 0.750)
Pt (0.249, 0.528, 0.537)
Pt (0.472, 0.751, 0.963)
Pt (0.528, 0.249, 0.037)
Pt (0.751, 0.472, 0.463)

Most intense lines, 2θ from 10° to 90°, low angle first:
d 2.487, 36.12°, intensity 49.2; d 2.375, 37.88°, intensity 58.0; d 2.289, 39.36°, intensity 100.0; d 2.251, 40.06°, intensity 67.0; d 2.158, 41.86°, intensity 54.0; d 1.763, 51.86°, intensity 17.7; d 1.483, 62.65°, intensity 22.6; d 1.354, 69.38°, intensity 21.6

---

No. 3
Structure and computed powder diffractogram of In3Pd2Pt (the PBE geometry in Alexandria; Cu Kα (λ = 1.5418 Å)).
Kinematic intensities with the Lorentz-polarization factor, no thermal factor.

Cell and atoms:
a b c (Å): 4.688 4.688 11.370
angles (deg): 90.00 90.00 120.00
Fractional positions:
In (0.000, 0.000, 0.250)
In (0.000, 0.000, 0.750)
In (0.333, 0.667, 0.414)
In (0.333, 0.667, 0.914)
In (0.667, 0.333, 0.086)
In (0.667, 0.333, 0.586)
Pd (0.000, 0.000, 0.000)
Pd (0.000, 0.000, 0.500)
Pd (0.333, 0.667, 0.160)
Pd (0.667, 0.333, 0.840)
Pt (0.333, 0.667, 0.663)
Pt (0.667, 0.333, 0.337)

Most intense lines, 2θ from 10° to 90°, low angle first:
d 2.344, 38.40°, intensity 100.0; d 2.329, 38.67°, intensity 97.4; d 1.652, 55.64°, intensity 33.2; d 1.353, 69.45°, intensity 17.0; d 1.350, 69.63°, intensity 33.5; d 1.341, 70.16°, intensity 16.5; d 1.172, 82.26°, intensity 10.7; d 1.164, 82.93°, intensity 10.5